[1]
Diffraction record for Zn3Pt. The powder diffractogram is theoretical, not measured: it uses the PBE geometry in OQMD and Cu Kα, 1.54184 Å.
No peak broadening, texture or thermal motion is included.

Most intense lines, 15° ≤ 2θ ≤ 90°, in order of rising 2θ:
19.00 deg, I = 28
27.19 deg, I = 16
27.54 deg, I = 13
37.48 deg, I = 20
38.42 deg, I = 14
38.54 deg, I = 15
40.14 deg, I = 39
42.72 deg, I = 36
43.67 deg, I = 100
68.32 deg, I = 13
75.39 deg, I = 19
82.31 deg, I = 16

Crystal structure
```
data_Zn3Pt
_chemical_formula_sum 'Zn6 Pt2'
_cell_length_a 5.348
_cell_length_b 4.493
_cell_length_c 5.491
_cell_angle_alpha 90.00
_cell_angle_beta 119.07
_cell_angle_gamma 90.00
_symmetry_space_group_name_H-M 'P 1'
_symmetry_Int_Tables_number 1
_symmetry_space_group_name_Hall 'P 1'
loop_
_atom_site_label
_atom_site_type_symbol
_atom_site_fract_x
_atom_site_fract_y
_atom_site_fract_z
_atom_site_occupancy
Zn1 Zn 0.080 0.250 0.161 1
Zn2 Zn 0.091 0.250 0.676 1
Zn3 Zn 0.414 0.750 0.324 1
Zn4 Zn 0.586 0.250 0.676 1
Zn5 Zn 0.909 0.750 0.324 1
Zn6 Zn 0.920 0.750 0.839 1
Pt1 Pt 0.403 0.750 0.806 1
Pt2 Pt 0.597 0.250 0.194 1
```

[2]
Diffraction record for Sr3Pt2. The powder diffractogram is theoretical, not measured: it uses the PBE geometry in OQMD and Cu Kα, 1.54184 Å.
No peak broadening, texture or thermal motion is included.

Most intense lines, 15° ≤ 2θ ≤ 90°, in order of rising 2θ:
19.20 deg, I = 41
24.42 deg, I = 50
29.97 deg, I = 29
30.17 deg, I = 45
31.22 deg, I = 100
33.57 deg, I = 70
35.90 deg, I = 70
36.00 deg, I = 86
40.95 deg, I = 28
41.93 deg, I = 32
45.66 deg, I = 28
48.32 deg, I = 24

Crystal structure
```
data_Sr3Pt2
_chemical_formula_sum 'Sr9 Pt6'
_cell_length_a 7.976
_cell_length_b 7.976
_cell_length_c 7.976
_cell_angle_alpha 70.86
_cell_angle_beta 70.86
_cell_angle_gamma 70.86
_symmetry_space_group_name_H-M 'P 1'
_symmetry_Int_Tables_number 1
_symmetry_space_group_name_Hall 'P 1'
loop_
_atom_site_label
_atom_site_type_symbol
_atom_site_fract_x
_atom_site_fract_y
_atom_site_fract_z
_atom_site_occupancy
Sr1 Sr 0.000 0.000 0.000 1
Sr2 Sr 0.155 0.398 0.668 1
Sr3 Sr 0.200 0.200 0.200 1
Sr4 Sr 0.332 0.845 0.602 1
Sr5 Sr 0.398 0.668 0.155 1
Sr6 Sr 0.602 0.332 0.845 1
Sr7 Sr 0.668 0.155 0.398 1
Sr8 Sr 0.800 0.800 0.800 1
Sr9 Sr 0.845 0.602 0.332 1
Pt1 Pt 0.043 0.842 0.413 1
Pt2 Pt 0.158 0.587 0.957 1
Pt3 Pt 0.413 0.043 0.842 1
Pt4 Pt 0.587 0.957 0.158 1
Pt5 Pt 0.842 0.413 0.043 1
Pt6 Pt 0.957 0.158 0.587 1
```

[3]
Diffraction record for Cu2Ag7. The powder diffractogram is theoretical, not measured: it uses the PBE geometry in OQMD and Cu Kα, 1.54184 Å.
No peak broadening, texture or thermal motion is included.

Most intense lines, 15° ≤ 2θ ≤ 90°, in order of rising 2θ:
38.44 deg, I = 100
38.54 deg, I = 99
44.66 deg, I = 64
44.91 deg, I = 31
64.86 deg, I = 10
65.13 deg, I = 19
65.22 deg, I = 29
77.99 deg, I = 11
78.15 deg, I = 23
78.30 deg, I = 11
78.53 deg, I = 17
82.35 deg, I = 10

Crystal structure
```
data_Cu2Ag7
_chemical_formula_sum 'Cu2 Ag7'
_cell_length_a 4.952
_cell_length_b 4.970
_cell_length_c 7.558
_cell_angle_alpha 90.16
_cell_angle_beta 108.93
_cell_angle_gamma 119.80
_symmetry_space_group_name_H-M 'P 1'
_symmetry_Int_Tables_number 1
_symmetry_space_group_name_Hall 'P 1'
loop_
_atom_site_label
_atom_site_type_symbol
_atom_site_fract_x
_atom_site_fract_y
_atom_site_fract_z
_atom_site_occupancy
Cu1 Cu 0.230 0.446 0.338 1
Cu2 Cu 0.770 0.554 0.662 1
Ag1 Ag 0.000 0.000 0.000 1
Ag2 Ag 0.117 0.227 0.662 1
Ag3 Ag 0.326 0.664 0.001 1
Ag4 Ag 0.443 0.881 0.662 1
Ag5 Ag 0.557 0.119 0.338 1
Ag6 Ag 0.674 0.336 0.999 1
Ag7 Ag 0.883 0.773 0.338 1
```

[4]
Diffraction record for Tm2OF2. The powder diffractogram is theoretical, not measured: it uses the PBE geometry in OQMD and Cu Kα, 1.54184 Å.
No peak broadening, texture or thermal motion is included.

Most intense lines, 15° ≤ 2θ ≤ 90°, in order of rising 2θ:
16.66 deg, I = 4
29.09 deg, I = 100
33.71 deg, I = 35
48.42 deg, I = 48
57.45 deg, I = 28
57.56 deg, I = 15
60.30 deg, I = 9
70.83 deg, I = 5
71.02 deg, I = 3
78.40 deg, I = 17
80.79 deg, I = 8
80.95 deg, I = 4

Crystal structure
```
data_Tm2OF2
_chemical_formula_sum 'Tm8 O4 F8'
_cell_length_a 7.525
_cell_length_b 7.525
_cell_length_c 5.309
_cell_angle_alpha 90.00
_cell_angle_beta 90.00
_cell_angle_gamma 90.00
_symmetry_space_group_name_H-M 'P 1'
_symmetry_Int_Tables_number 1
_symmetry_space_group_name_Hall 'P 1'
loop_
_atom_site_label
_atom_site_type_symbol
_atom_site_fract_x
_atom_site_fract_y
_atom_site_fract_z
_atom_site_occupancy
Tm1 Tm 0.013 0.250 0.002 1
Tm2 Tm 0.250 0.013 0.502 1
Tm3 Tm 0.250 0.487 0.502 1
Tm4 Tm 0.487 0.250 0.002 1
Tm5 Tm 0.513 0.750 0.998 1
Tm6 Tm 0.750 0.513 0.498 1
Tm7 Tm 0.750 0.987 0.498 1
Tm8 Tm 0.987 0.750 0.998 1
O1 O 0.250 0.250 0.253 1
O2 O 0.250 0.250 0.753 1
O3 O 0.750 0.750 0.247 1
O4 O 0.750 0.750 0.747 1
F1 F 0.001 0.501 0.250 1
F2 F 0.001 0.999 0.250 1
F3 F 0.499 0.501 0.250 1
F4 F 0.499 0.999 0.250 1
F5 F 0.501 0.001 0.750 1
F6 F 0.501 0.499 0.750 1
F7 F 0.999 0.001 0.750 1
F8 F 0.999 0.499 0.750 1
```

[5]
Diffraction record for Li4AlZnGa2. The powder diffractogram is theoretical, not measured: it uses the PBE geometry in OQMD and Cu Kα, 1.54184 Å.
No peak broadening, texture or thermal motion is included.

Most intense lines, 15° ≤ 2θ ≤ 90°, in order of rising 2θ:
20.46 deg, I = 6
25.13 deg, I = 97
29.10 deg, I = 4
32.62 deg, I = 3
35.84 deg, I = 3
41.62 deg, I = 100
44.27 deg, I = 2
49.24 deg, I = 45
60.32 deg, I = 16
66.39 deg, I = 18
75.95 deg, I = 32
81.48 deg, I = 13

Crystal structure
```
data_Li4AlZnGa2
_chemical_formula_sum 'Li4 Al1 Zn1 Ga2'
_cell_length_a 4.340
_cell_length_b 4.340
_cell_length_c 6.137
_cell_angle_alpha 90.00
_cell_angle_beta 90.00
_cell_angle_gamma 90.00
_symmetry_space_group_name_H-M 'P 1'
_symmetry_Int_Tables_number 1
_symmetry_space_group_name_Hall 'P 1'
loop_
_atom_site_label
_atom_site_type_symbol
_atom_site_fract_x
_atom_site_fract_y
_atom_site_fract_z
_atom_site_occupancy
Li1 Li 0.000 0.000 0.000 1
Li2 Li 0.000 0.500 0.739 1
Li3 Li 0.500 0.000 0.261 1
Li4 Li 0.500 0.500 0.500 1
Al1 Al 0.500 0.500 0.000 1
Zn1 Zn 0.000 0.000 0.500 1
Ga1 Ga 0.000 0.500 0.254 1
Ga2 Ga 0.500 0.000 0.746 1
```

[6]
Diffraction record for TlAgTeWS2. The powder diffractogram is theoretical, not measured: it uses the PBE geometry in OQMD and Cu Kα, 1.54184 Å.
No peak broadening, texture or thermal motion is included.

Most intense lines, 15° ≤ 2θ ≤ 90°, in order of rising 2θ:
16.86 deg, I = 22
20.10 deg, I = 51
21.83 deg, I = 21
32.04 deg, I = 100
34.09 deg, I = 53
35.37 deg, I = 29
37.27 deg, I = 50
40.38 deg, I = 45
53.48 deg, I = 18
53.85 deg, I = 26
64.96 deg, I = 16
67.00 deg, I = 18

Crystal structure
```
data_TlAgTeWS2
_chemical_formula_sum 'Tl2 Ag2 Te2 W2 S4'
_cell_length_a 8.322
_cell_length_b 8.322
_cell_length_c 10.520
_cell_angle_alpha 90.00
_cell_angle_beta 90.00
_cell_angle_gamma 156.24
_symmetry_space_group_name_H-M 'P 1'
_symmetry_Int_Tables_number 1
_symmetry_space_group_name_Hall 'P 1'
loop_
_atom_site_label
_atom_site_type_symbol
_atom_site_fract_x
_atom_site_fract_y
_atom_site_fract_z
_atom_site_occupancy
Tl1 Tl 0.238 0.762 0.750 1
Tl2 Tl 0.762 0.238 0.250 1
Ag1 Ag 0.432 0.568 0.250 1
Ag2 Ag 0.568 0.432 0.750 1
Te1 Te 0.077 0.923 0.250 1
Te2 Te 0.923 0.077 0.750 1
W1 W 0.000 0.000 0.000 1
W2 W 0.000 0.000 0.500 1
S1 S 0.394 0.606 0.025 1
S2 S 0.394 0.606 0.475 1
S3 S 0.606 0.394 0.525 1
S4 S 0.606 0.394 0.975 1
```

[7]
Diffraction record for HoEr2Mg3Pt3. The powder diffractogram is theoretical, not measured: it uses the PBE geometry in OQMD and Cu Kα, 1.54184 Å.
No peak broadening, texture or thermal motion is included.

Most intense lines, 15° ≤ 2θ ≤ 90°, in order of rising 2θ:
24.36 deg, I = 52
26.04 deg, I = 27
32.95 deg, I = 71
35.96 deg, I = 100
37.60 deg, I = 14
42.86 deg, I = 40
43.91 deg, I = 37
44.56 deg, I = 24
49.91 deg, I = 15
57.15 deg, I = 17
63.54 deg, I = 25
68.63 deg, I = 27

Crystal structure
```
data_HoEr2Mg3Pt3
_chemical_formula_sum 'Ho1 Er2 Mg3 Pt3'
_cell_length_a 4.067
_cell_length_b 7.309
_cell_length_c 7.309
_cell_angle_alpha 120.03
_cell_angle_beta 90.00
_cell_angle_gamma 90.00
_symmetry_space_group_name_H-M 'P 1'
_symmetry_Int_Tables_number 1
_symmetry_space_group_name_Hall 'P 1'
loop_
_atom_site_label
_atom_site_type_symbol
_atom_site_fract_x
_atom_site_fract_y
_atom_site_fract_z
_atom_site_occupancy
Ho1 Ho 0.000 0.000 0.000 1
Er1 Er 0.000 0.181 0.591 1
Er2 Er 0.000 0.591 0.181 1
Mg1 Mg 0.500 0.345 0.345 1
Mg2 Mg 0.500 0.590 0.837 1
Mg3 Mg 0.500 0.837 0.590 1
Pt1 Pt 0.000 0.590 0.590 1
Pt2 Pt 0.500 0.258 0.924 1
Pt3 Pt 0.500 0.924 0.258 1
```

[8]
Diffraction record for Li4MgGa2Au. The powder diffractogram is theoretical, not measured: it uses the PBE geometry in OQMD and Cu Kα, 1.54184 Å.
No peak broadening, texture or thermal motion is included.

Most intense lines, 15° ≤ 2θ ≤ 90°, in order of rising 2θ:
19.89 deg, I = 36
24.32 deg, I = 100
31.61 deg, I = 20
34.54 deg, I = 19
40.17 deg, I = 64
40.40 deg, I = 32
42.92 deg, I = 12
47.31 deg, I = 17
47.72 deg, I = 33
54.18 deg, I = 11
63.93 deg, I = 14
73.31 deg, I = 21

Crystal structure
```
data_Li4MgGa2Au
_chemical_formula_sum 'Li4 Mg1 Ga2 Au1'
_cell_length_a 4.465
_cell_length_b 4.465
_cell_length_c 6.385
_cell_angle_alpha 90.00
_cell_angle_beta 90.00
_cell_angle_gamma 90.00
_symmetry_space_group_name_H-M 'P 1'
_symmetry_Int_Tables_number 1
_symmetry_space_group_name_Hall 'P 1'
loop_
_atom_site_label
_atom_site_type_symbol
_atom_site_fract_x
_atom_site_fract_y
_atom_site_fract_z
_atom_site_occupancy
Li1 Li 0.000 0.000 0.000 1
Li2 Li 0.000 0.500 0.727 1
Li3 Li 0.500 0.000 0.273 1
Li4 Li 0.500 0.500 0.500 1
Mg1 Mg 0.500 0.500 0.000 1
Ga1 Ga 0.000 0.500 0.263 1
Ga2 Ga 0.500 0.000 0.737 1
Au1 Au 0.000 0.000 0.500 1
```